Diffraction record for CaHoW2O6. The powder diffractogram is calculated, not measured: it uses a PBE+U-relaxed structure and copper Kα.
Neutral-atom scattering factors, no anomalous dispersion.

The 6 most intense peaks (5 to 70 degrees two-theta), low angle first:
2θ 22.28, d 3.991, intensity 15.0, hkl 1 1 -1
2θ 30.91, d 2.893, intensity 22.1, hkl 0 2 0
2θ 31.46, d 2.844, intensity 100.0, hkl 1 1 1
2θ 32.49, d 2.756, intensity 21.7, hkl 2 0 -2
2θ 45.46, d 1.995, intensity 19.6, hkl 2 2 -2
2θ 55.34, d 1.660, intensity 26.0, hkl 0 2 4

Atomic structure:
```
data_CaHoW2O6
_cell_length_a 5.5120
_cell_length_b 5.7851
_cell_length_c 9.7834
_cell_angle_alpha 90.00
_cell_angle_beta 124.05
_cell_angle_gamma 90.00
_symmetry_space_group_name_H-M 'P 1 c 1'
_symmetry_Int_Tables_number 7
_symmetry_space_group_name_Hall 'P -2yc'
loop_
_atom_site_label
_atom_site_type_symbol
_atom_site_fract_x
_atom_site_fract_y
_atom_site_fract_z
Ca1 Ca 0.0000 0.1984 0.0000
Ho1 Ho 0.4627 0.3112 0.4972
W1 W 0.2354 0.2473 0.7483
W2 W 0.7355 0.2485 0.2476
O1 O 0.0171 0.4527 0.8163
O2 O 0.1246 0.0556 0.3116
O3 O 0.3632 0.4640 0.1797
O4 O 0.4730 0.0633 0.6788
O5 O 0.6001 0.3178 0.9948
O6 O 0.8517 0.1934 0.5010
```